# 1
Calculated X-ray powder pattern of Ta3N5 for Cu Kα, 1.54184 Å, from DFT lattice parameters and positions (GGA-PBE).
Lines closer than 0.1° are merged.

Peak list (6 most intense, 2θ from 10° to 90°, in order of rising 2θ)
hkl	two_theta	I/Imax
2 0 3	32.3	1000
4 0 0	32.6	810
1 1 2	36.5	237
3 1 2	43.5	217
6 0 3	58.0	224
2 2 3	72.2	246

Atomic structure:
Cell: 10.990 2.967 9.614 Å, 90.00 90.00 90.00°
Fractional positions:
Ta: 0.117 0.250 0.249
Ta: 0.126 0.750 0.591
Ta: 0.133 0.250 0.923
Ta: 0.367 0.750 0.423
Ta: 0.374 0.250 0.091
Ta: 0.383 0.750 0.749
Ta: 0.617 0.250 0.251
Ta: 0.626 0.750 0.909
Ta: 0.633 0.250 0.577
Ta: 0.867 0.750 0.077
Ta: 0.874 0.250 0.409
Ta: 0.883 0.750 0.751
N: 0.025 0.750 0.391
N: 0.069 0.750 0.796
N: 0.075 0.750 0.080
N: 0.215 0.250 0.454
N: 0.238 0.250 0.723
N: 0.262 0.750 0.223
N: 0.285 0.750 0.954
N: 0.425 0.250 0.580
N: 0.431 0.250 0.296
N: 0.475 0.250 0.891
N: 0.525 0.750 0.109
N: 0.569 0.750 0.704
N: 0.575 0.750 0.420
N: 0.715 0.250 0.046
N: 0.738 0.250 0.777
N: 0.762 0.750 0.277
N: 0.785 0.750 0.546
N: 0.925 0.250 0.920
N: 0.931 0.250 0.204
N: 0.975 0.250 0.609

---

# 2
Calculated X-ray powder pattern of Na3SiBiCO7 for Cu Kα, 1.54184 Å, from DFT lattice parameters and positions (GGA-PBE).
Lines closer than 0.1° are merged.

Peak list (6 most intense, 2θ from 10° to 90°, in order of rising 2θ)
hkl	two_theta	I/Imax
0 1 1	15.5	1000
1 1 0	21.0	990
0 1 2	22.5	704
0 2 0	24.8	962
2 0 0	34.2	541
2 0 1	35.6	586

Atomic structure:
Cell: 5.243 7.192 9.474 Å, 90.00 90.70 90.00°
Fractional positions:
Na: 0.231 0.250 0.413
Na: 0.246 0.512 0.753
Na: 0.246 0.988 0.753
Na: 0.754 0.012 0.247
Na: 0.754 0.488 0.247
Na: 0.769 0.750 0.587
Si: 0.291 0.250 0.095
Si: 0.709 0.750 0.905
Bi: 0.229 0.750 0.133
Bi: 0.771 0.250 0.867
C: 0.269 0.750 0.448
C: 0.731 0.250 0.552
O: 0.048 0.750 0.382
O: 0.190 0.250 0.927
O: 0.195 0.068 0.185
O: 0.195 0.432 0.185
O: 0.279 0.750 0.584
O: 0.393 0.750 0.910
O: 0.480 0.750 0.375
O: 0.520 0.250 0.625
O: 0.607 0.250 0.090
O: 0.721 0.250 0.416
O: 0.805 0.568 0.815
O: 0.805 0.932 0.815
O: 0.810 0.750 0.073
O: 0.952 0.250 0.618